# 1
For PmNd2DyBi4, a GGA-PBE-relaxed structure gives the simulated powder X-ray diffraction pattern in this record (Cu Kα, 1.54184 Å).
Kinematic intensities with the Lorentz-polarization factor, no thermal factor.

Peak list (10 most intense, 10 to 80 degrees two-theta, by intensity)
two_theta, Rel. int.
27.61, 100
39.44, 78
64.48, 38
48.82, 29
71.52, 28
57.00, 14
23.85, 5
46.61, 3
62.66, 1
76.61, 1

Structure:
```
8
Lattice="7.912 0.000 0.000 0.000 4.572 0.000 -2.639 0.000 7.461" Properties=species:S:1:pos:R:3 pbc="T T T"
Pm 0.000 0.000 0.000
Nd 2.636 0.000 3.730
Nd 3.956 2.286 0.000
Dy -1.320 2.286 3.730
Bi -0.039 0.000 5.557
Bi 1.280 2.286 1.878
Bi 3.992 2.286 5.583
Bi 5.312 0.000 1.904
```


# 2
For Dy8Ni3Bi2, a GGA-PBE-relaxed structure gives the simulated powder X-ray diffraction pattern in this record (Cu Kα, 1.54184 Å).
Kinematic intensities with the Lorentz-polarization factor, no thermal factor.

Peak list (10 most intense, 10 to 80 degrees two-theta, by intensity)
two_theta, Rel. int.
31.39, 100
34.36, 68
32.09, 56
48.31, 32
42.02, 31
29.18, 31
22.94, 28
31.89, 26
39.38, 24
27.55, 21

Structure:
```
13
Lattice="8.059 -3.652 0.000 8.059 3.652 0.000 -1.396 0.000 6.461" Properties=species:S:1:pos:R:3 pbc="T T T"
Dy 0.681 0.000 2.303
Dy 6.228 1.786 0.877
Dy 8.495 1.786 5.584
Dy 5.190 0.000 4.131
Dy 9.533 0.000 2.331
Dy 6.228 -1.786 0.877
Dy 8.495 -1.786 5.584
Dy 14.042 0.000 4.158
Ni 7.362 1.355 3.231
Ni 8.059 0.000 0.000
Ni 7.362 -1.355 3.231
Bi 3.572 0.000 1.212
Bi 11.151 0.000 5.250
```


# 3
For Dy4NiBi2, a GGA-PBE-relaxed structure gives the simulated powder X-ray diffraction pattern in this record (Cu Kα, 1.54184 Å).
Kinematic intensities with the Lorentz-polarization factor, no thermal factor.

Peak list (10 most intense, 10 to 80 degrees two-theta, by intensity)
two_theta, Rel. int.
30.39, 100
28.59, 76
34.42, 69
34.24, 64
27.94, 59
39.61, 49
31.72, 46
38.73, 45
31.14, 36
27.12, 32

Structure:
```
14
Lattice="6.912 0.000 0.000 0.000 6.576 0.000 -2.804 0.000 8.661" Properties=species:S:1:pos:R:3 pbc="T T T"
Dy -0.649 0.022 2.397
Dy -0.649 3.266 2.397
Dy 2.351 4.932 0.562
Dy 1.201 4.932 5.512
Dy 2.907 1.644 3.149
Dy 1.757 1.644 8.099
Dy 4.757 3.310 6.264
Dy 4.757 6.554 6.264
Ni 1.314 4.932 2.890
Ni 2.794 1.644 5.770
Bi 1.349 1.644 0.346
Bi 0.274 1.644 5.037
Bi 3.834 4.932 3.624
Bi 2.759 4.932 8.315
```


# 4
For Dy5NiBi4, a GGA-PBE-relaxed structure gives the simulated powder X-ray diffraction pattern in this record (Cu Kα, 1.54184 Å).
Kinematic intensities with the Lorentz-polarization factor, no thermal factor.

Peak list (10 most intense, 10 to 80 degrees two-theta, by intensity)
two_theta, Rel. int.
28.87, 100
40.94, 72
28.40, 45
41.29, 37
50.87, 36
75.03, 21
67.75, 16
66.77, 15
67.51, 14
59.81, 12

Structure:
```
10
Lattice="-4.890 4.890 3.143 4.890 -4.890 3.143 4.890 4.890 -3.143" Properties=species:S:1:pos:R:3 pbc="T T T"
Dy 0.000 0.000 0.000
Dy 5.847 2.118 0.679
Dy 2.118 3.932 0.679
Dy 2.772 0.957 3.822
Dy -0.957 2.772 3.822
Ni 0.000 0.000 3.630
Bi 6.846 -0.894 0.686
Bi 2.934 0.894 0.686
Bi -0.894 2.934 0.686
Bi 0.894 6.846 0.686
```


# 5
For Dy6Ni2Bi, a GGA-PBE-relaxed structure gives the simulated powder X-ray diffraction pattern in this record (Cu Kα, 1.54184 Å).
Kinematic intensities with the Lorentz-polarization factor, no thermal factor.

Peak list (10 most intense, 10 to 80 degrees two-theta, by intensity)
two_theta, Rel. int.
31.66, 100
33.69, 59
30.24, 35
59.89, 33
33.82, 30
34.44, 26
35.28, 20
54.98, 17
28.37, 16
35.05, 16

Structure:
```
18
Lattice="-4.644 4.958 5.120 4.644 -4.958 5.120 4.644 4.958 -5.120" Properties=species:S:1:pos:R:3 pbc="T T T"
Dy 4.644 2.876 -2.782
Dy 2.756 1.793 0.000
Dy 6.532 1.793 0.000
Dy 1.745 4.958 -1.785
Dy 2.899 0.000 3.335
Dy 0.000 2.082 2.338
Dy 4.644 2.876 2.782
Dy 1.745 4.958 1.785
Dy 2.899 0.000 6.904
Dy -1.888 3.165 5.120
Dy 1.888 3.165 5.120
Dy 0.000 2.082 7.902
Ni 4.644 0.000 1.273
Ni 0.000 3.524 0.000
Ni 0.000 6.393 0.000
Ni 0.000 4.958 3.847
Bi 0.000 0.000 0.000
Bi 0.000 0.000 5.120
```


# 6
For DyBi12O20, a GGA-PBE-relaxed structure gives the simulated powder X-ray diffraction pattern in this record (Cu Kα, 1.54184 Å).
Kinematic intensities with the Lorentz-polarization factor, no thermal factor.

Peak list (10 most intense, 10 to 80 degrees two-theta, by intensity)
two_theta, Rel. int.
27.33, 100
32.46, 69
51.64, 44
54.83, 29
29.99, 24
60.88, 22
53.25, 21
77.36, 19
78.66, 17
24.39, 17

Structure:
```
33
Lattice="-5.160 5.160 5.160 5.160 -5.160 5.160 5.160 5.160 -5.160" Properties=species:S:1:pos:R:3 pbc="T T T"
Dy 0.000 0.000 0.000
Bi 5.120 3.360 -1.882
Bi 7.042 -0.041 1.800
Bi 3.279 0.041 1.800
Bi 3.360 -1.882 5.120
Bi 1.800 3.279 0.041
Bi 0.041 1.800 3.279
Bi 5.201 3.360 1.882
Bi 1.800 7.042 -0.041
Bi 3.360 1.882 5.201
Bi -1.882 5.120 3.360
Bi 1.882 5.201 3.360
Bi -0.041 1.800 7.042
O 1.271 1.271 -1.271
O 3.431 3.431 -3.431
O 1.271 -1.271 1.271
O 3.431 -3.431 3.431
O 5.287 -1.368 2.539
O 3.792 2.621 -0.127
O -1.271 1.271 1.271
O 6.529 2.621 0.127
O 1.729 1.729 1.729
O 2.621 -0.127 3.792
O 5.034 1.368 2.539
O 2.539 5.287 -1.368
O 2.539 5.034 1.368
O -0.127 3.792 2.621
O 2.621 0.127 6.529
O -3.431 3.431 3.431
O 1.368 2.539 5.034
O 3.889 3.889 3.889
O -1.368 2.539 5.287
O 0.127 6.529 2.621
```